Ce2UO6: computed XRD peak list (λ = 1.5418 Å (Cu Kα)), based on a cell relaxed with PBE.
Lines closer than 0.1° are merged.

Atomic structure:
```
Ce2UO6
1.0
-1.9381 2.7331 5.7433
1.9381 -2.7331 5.7433
1.9381 2.7331 -5.7433
Ce U O
2 1 6
direct
0.1661 0.1661 0.0000
0.8339 0.8339 0.0000
0.5000 0.5000 0.0000
0.0975 0.3403 0.7572
0.2636 0.0000 0.2636
0.4168 0.6597 0.7572
0.5832 0.3403 0.2428
0.7365 0.0000 0.7365
0.9025 0.6597 0.2428
```

Principal peaks in the range 10 to 90 degrees two-theta, by angle:
2θ = 28.22°, d 3.162, rel. 100
2θ = 28.46°, d 3.136, rel. 98
2θ = 32.77°, d 2.733, rel. 22
2θ = 32.88°, d 2.724, rel. 43
2θ = 46.88°, d 1.938, rel. 18
2θ = 47.10°, d 1.929, rel. 69
2θ = 47.49°, d 1.914, rel. 17
2θ = 55.75°, d 1.649, rel. 46
2θ = 56.17°, d 1.638, rel. 30
2θ = 87.27°, d 1.117, rel. 17

---

TmTiPtRh: computed XRD peak list (λ = 1.5418 Å (Cu Kα)), based on a cell relaxed with PBE.
Lines closer than 0.1° are merged.

Atomic structure:
```
TmTiPtRh
1.0
0.0000 3.2827 3.2827
3.2827 0.0000 3.2827
3.2827 3.2827 0.0000
Tm Ti Pt Rh
1 1 1 1
direct
0.0000 0.0000 0.0000
0.5000 0.5000 0.5000
0.7500 0.7500 0.7500
0.2500 0.2500 0.2500
```

Principal peaks in the range 10 to 90 degrees two-theta, by angle:
2θ = 23.47°, d 3.791, rel. 20
2θ = 27.16°, d 3.283, rel. 3
2θ = 38.79°, d 2.321, rel. 100
2θ = 45.84°, d 1.980, rel. 11
2θ = 56.03°, d 1.641, rel. 17
2θ = 61.57°, d 1.506, rel. 5
2θ = 70.23°, d 1.340, rel. 35
2θ = 75.20°, d 1.264, rel. 4
2θ = 83.25°, d 1.161, rel. 11
2θ = 88.00°, d 1.110, rel. 4

---

Al4AuSe7: computed XRD peak list (λ = 1.5418 Å (Cu Kα)), based on a cell relaxed with PBE.
Lines closer than 0.1° are merged.

Atomic structure:
```
Al4AuSe7
1.0
14.9095 0.0000 0.0000
0.0000 7.0149 0.0000
0.0000 0.0000 6.5743
Al Au Se
8 2 14
direct
0.1290 0.1729 0.0000
0.2430 0.3310 0.4783
0.2570 0.6690 0.9783
0.3710 0.8271 0.5000
0.6290 0.8271 0.5000
0.7430 0.6690 0.9783
0.7570 0.3310 0.4783
0.8710 0.1729 0.0000
0.0000 0.6528 0.8910
0.5000 0.3472 0.3910
0.0000 0.2999 0.8258
0.1145 0.1636 0.3594
0.1380 0.8596 0.8368
0.2405 0.6595 0.3537
0.2595 0.3405 0.8537
0.3620 0.1404 0.3368
0.3855 0.8364 0.8594
0.5000 0.7001 0.3258
0.6145 0.8364 0.8594
0.6380 0.1404 0.3368
0.7405 0.3405 0.8537
0.7595 0.6595 0.3537
0.8620 0.8596 0.8368
0.8855 0.1636 0.3594
```

Principal peaks in the range 10 to 90 degrees two-theta, by angle:
2θ = 14.73°, d 6.015, rel. 64
2θ = 18.50°, d 4.797, rel. 24
2θ = 22.03°, d 4.034, rel. 23
2θ = 25.81°, d 3.451, rel. 21
2θ = 27.11°, d 3.289, rel. 100
2θ = 30.37°, d 2.943, rel. 23
2θ = 31.28°, d 2.859, rel. 22
2θ = 38.71°, d 2.326, rel. 24
2θ = 45.81°, d 1.981, rel. 33
2θ = 54.06°, d 1.696, rel. 30

---

LiAc2B3Pt12: computed XRD peak list (λ = 1.5418 Å (Cu Kα)), based on a cell relaxed with PBE.
Lines closer than 0.1° are merged.

Atomic structure:
```
LiAc2B3Pt12
1.0
3.9979 2.3082 5.8148
-3.9979 2.3082 5.8148
0.0000 -4.6164 5.8148
Li Ac B Pt
1 2 3 12
direct
0.0000 0.0000 0.0000
0.3861 0.3861 0.3861
0.6139 0.6139 0.6139
0.0000 0.0000 0.5000
0.0000 0.5000 0.0000
0.5000 0.0000 0.0000
0.0865 0.6769 0.6769
0.1108 0.1108 0.6367
0.1108 0.6367 0.1108
0.3231 0.3231 0.9135
0.3231 0.9135 0.3231
0.3633 0.8892 0.8892
0.6367 0.1108 0.1108
0.6769 0.0865 0.6769
0.6769 0.6769 0.0865
0.8892 0.3633 0.8892
0.8892 0.8892 0.3633
0.9135 0.3231 0.3231
```

Principal peaks in the range 10 to 90 degrees two-theta, by angle:
2θ = 26.24°, d 3.396, rel. 10
2θ = 33.03°, d 2.712, rel. 100
2θ = 34.66°, d 2.588, rel. 18
2θ = 36.56°, d 2.458, rel. 21
2θ = 45.37°, d 1.999, rel. 39
2θ = 49.39°, d 1.845, rel. 22
2θ = 57.26°, d 1.609, rel. 14
2θ = 67.29°, d 1.392, rel. 14
2θ = 75.91°, d 1.253, rel. 10
2θ = 76.07°, d 1.251, rel. 9

---

Sm2Tm3Cd6: computed XRD peak list (λ = 1.5418 Å (Cu Kα)), based on a cell relaxed with PBE.
Lines closer than 0.1° are merged.

Atomic structure:
```
Sm2Tm3Cd6
1.0
-2.4975 2.4975 13.7473
2.4975 -2.4975 13.7473
2.4975 2.4975 -13.7473
Sm Tm Cd
2 3 6
direct
0.1360 0.1360 0.0000
0.8640 0.8640 0.0000
0.3679 0.3679 0.0000
0.5000 0.5000 0.0000
0.6321 0.6321 0.0000
0.0630 0.5630 0.5000
0.2533 0.2533 0.0000
0.4370 0.9370 0.5000
0.5630 0.0630 0.5000
0.7467 0.7467 0.0000
0.9370 0.4370 0.5000
```

Principal peaks in the range 10 to 90 degrees two-theta, by angle:
2θ = 18.05°, d 4.915, rel. 11
2θ = 25.21°, d 3.532, rel. 21
2θ = 26.05°, d 3.421, rel. 25
2θ = 31.99°, d 2.798, rel. 16
2θ = 35.96°, d 2.498, rel. 56
2θ = 36.48°, d 2.463, rel. 100
2θ = 49.29°, d 1.849, rel. 10
2θ = 51.76°, d 1.766, rel. 20
2θ = 64.98°, d 1.435, rel. 35
2θ = 65.99°, d 1.416, rel. 13

---

UGa2Cu6: computed XRD peak list (λ = 1.5418 Å (Cu Kα)), based on a cell relaxed with PBE.
Lines closer than 0.1° are merged.

Atomic structure:
```
UGa2Cu6
1.0
4.3525 2.5129 4.1527
-4.3525 2.5129 4.1527
0.0000 -5.0259 4.1527
U Ga Cu
2 4 12
direct
0.0000 0.0000 0.0000
0.3065 0.3065 0.3065
0.1886 0.6452 0.6452
0.6452 0.1886 0.6452
0.6452 0.6452 0.1886
0.7310 0.7310 0.7310
0.0018 0.0018 0.5098
0.0018 0.5098 0.0018
0.3057 0.3057 0.8293
0.3057 0.8293 0.3057
0.3547 0.6586 0.9648
0.3547 0.9648 0.6586
0.5098 0.0018 0.0018
0.6586 0.3547 0.9648
0.6586 0.9648 0.3547
0.8293 0.3057 0.3057
0.9648 0.3547 0.6586
0.9648 0.6586 0.3547
```

Principal peaks in the range 10 to 90 degrees two-theta, by angle:
2θ = 13.73°, d 6.450, rel. 17
2θ = 29.73°, d 3.005, rel. 47
2θ = 35.73°, d 2.513, rel. 35
2θ = 37.46°, d 2.401, rel. 18
2θ = 41.49°, d 2.176, rel. 42
2θ = 42.03°, d 2.150, rel. 100
2θ = 43.58°, d 2.077, rel. 28
2θ = 60.54°, d 1.529, rel. 16
2θ = 61.75°, d 1.502, rel. 14
2θ = 68.51°, d 1.370, rel. 17